Starting from a structure optimized by DFT (PBE+U), the powder XRD pattern of CaFeSeO was calculated for Cu Kα, 1.54184 Å.
Lines closer than 0.1° are merged.

Main lines, in order of rising 2θ (2θ = 10–90°):
2θ (°), I (rel.)
19.7, 19
29.6, 30
30.2, 100
38.2, 21
40.1, 19
42.8, 35
43.3, 13
46.1, 20

Crystal structure
```
CaFeSeO
1.0
6.0342 0.0000 0.0000
0.0000 3.9373 0.0000
0.0000 0.0000 13.4944
Ca Fe Se O
4 4 4 4
direct
0.2489 0.2500 0.0816
0.2511 0.7500 0.5816
0.7489 0.2500 0.4184
0.7511 0.7500 0.9184
0.1124 0.2500 0.7944
0.3876 0.7500 0.2944
0.6124 0.2500 0.7056
0.8876 0.7500 0.2056
0.2423 0.2500 0.4056
0.2577 0.7500 0.9056
0.7423 0.2500 0.0944
0.7577 0.7500 0.5944
0.2073 0.7500 0.1726
0.2927 0.2500 0.6726
0.7073 0.7500 0.3274
0.7927 0.2500 0.8274
```


Starting from a structure optimized by DFT (PBE+U), the powder XRD pattern of AlV2O4 was calculated for Cu Kα, 1.54184 Å.
Lines closer than 0.1° are merged.

Main lines, in order of rising 2θ (2θ = 10–90°):
2θ (°), I (rel.)
18.5, 42
35.2, 67
35.4, 66
35.6, 65
35.7, 100
42.8, 72
43.0, 71
43.3, 69

Crystal structure
```
AlV2O4
1.0
5.9263 0.0000 0.0000
2.9129 5.2290 0.0000
2.9347 1.7782 9.5877
Al V O
4 8 16
direct
0.0611 0.0646 0.3151
0.4377 0.4326 0.1846
0.5623 0.5674 0.8154
0.9389 0.9354 0.6849
0.0000 0.0000 0.0000
0.0000 0.5000 0.0000
0.0000 0.5000 0.5000
0.2527 0.2540 0.7442
0.5000 0.0000 0.0000
0.5000 0.0000 0.5000
0.5000 0.5000 0.5000
0.7473 0.7460 0.2558
0.1212 0.6325 0.6241
0.1261 0.1191 0.6228
0.1274 0.6178 0.1230
0.1288 0.1288 0.1248
0.3682 0.8824 0.3780
0.3760 0.3771 0.8789
0.3776 0.3641 0.3746
0.3809 0.8744 0.8766
0.6191 0.1256 0.1234
0.6224 0.6359 0.6254
0.6240 0.6229 0.1211
0.6318 0.1176 0.6220
0.8712 0.8712 0.8752
0.8726 0.3822 0.8770
0.8739 0.8809 0.3772
0.8788 0.3675 0.3759
```


Starting from a structure optimized by DFT (PBE+U), the powder XRD pattern of LiVOF2 was calculated for Cu Kα, 1.54184 Å.
Lines closer than 0.1° are merged.

Main lines, in order of rising 2θ (2θ = 10–90°):
2θ (°), I (rel.)
13.3, 74
14.1, 82
21.5, 81
22.0, 74
26.7, 74
28.4, 57
39.0, 100
61.5, 56

Crystal structure
```
LiVOF2
1.0
8.8242 0.0000 0.0000
0.0000 5.2755 0.0000
-8.2569 0.0000 9.5467
Li V O F
8 8 8 16
direct
0.0000 0.0722 0.0000
0.0000 0.9278 0.5000
0.1956 0.4269 0.5048
0.1956 0.5731 0.0048
0.6763 0.4122 0.6953
0.6763 0.5878 0.1953
0.8775 0.0929 0.2133
0.8775 0.9071 0.7133
0.0400 0.3957 0.6945
0.0400 0.6043 0.1945
0.3929 0.0414 0.4191
0.3929 0.9586 0.9191
0.5083 0.0775 0.1898
0.5083 0.9225 0.6898
0.5916 0.3897 0.9332
0.5916 0.6103 0.4332
0.1309 0.0938 0.7947
0.1309 0.9062 0.2947
0.4135 0.2043 0.5618
0.4135 0.7957 0.0618
0.4937 0.0758 0.8257
0.4937 0.9242 0.3257
0.5708 0.2379 0.0669
0.5708 0.7621 0.5669
0.0569 0.2751 0.5560
0.0569 0.7249 0.0560
0.2370 0.2404 0.0728
0.2370 0.7596 0.5728
0.3167 0.4207 0.3208
0.3167 0.5793 0.8208
0.6222 0.4209 0.3061
0.6222 0.5791 0.8061
0.7329 0.2887 0.5624
0.7329 0.7113 0.0624
0.7914 0.0801 0.8028
0.7914 0.9199 0.3028
0.8909 0.2775 0.0657
0.8909 0.7225 0.5657
0.9774 0.4287 0.3018
0.9774 0.5713 0.8018
```


Starting from a structure optimized by DFT (PBE+U), the powder XRD pattern of ScFe2BO5 was calculated for Cu Kα, 1.54184 Å.
Lines closer than 0.1° are merged.

Main lines, in order of rising 2θ (2θ = 10–90°):
2θ (°), I (rel.)
16.7, 17
18.4, 20
33.8, 100
36.5, 22
40.1, 16
45.5, 31
58.0, 18
59.4, 22

Crystal structure
```
ScFe2BO5
1.0
9.6547 0.0000 0.0000
0.0000 12.7157 0.0000
0.0000 0.0000 3.1780
Sc Fe B O
4 8 4 20
direct
0.2438 0.1150 0.0000
0.2562 0.6150 0.0000
0.7438 0.3850 0.0000
0.7562 0.8850 0.0000
0.0000 0.0000 0.5000
0.0000 0.5000 0.0000
0.0054 0.2803 0.5000
0.4946 0.7803 0.5000
0.5000 0.0000 0.0000
0.5000 0.5000 0.5000
0.5054 0.2197 0.5000
0.9946 0.7197 0.5000
0.2240 0.8617 0.0000
0.2760 0.3617 0.0000
0.7240 0.6383 0.0000
0.7760 0.1383 0.0000
0.1109 0.1402 0.5000
0.1128 0.5784 0.5000
0.1310 0.3589 0.0000
0.1503 0.7668 0.0000
0.1537 0.9568 0.0000
0.3463 0.4568 0.0000
0.3497 0.2668 0.0000
0.3690 0.8589 0.0000
0.3872 0.0784 0.5000
0.3891 0.6402 0.5000
0.6109 0.3598 0.5000
0.6128 0.9216 0.5000
0.6310 0.1411 0.0000
0.6503 0.7332 0.0000
0.6537 0.5432 0.0000
0.8463 0.0432 0.0000
0.8497 0.2332 0.0000
0.8690 0.6411 0.0000
0.8872 0.4216 0.5000
0.8891 0.8598 0.5000
```


Starting from a structure optimized by DFT (PBE+U), the powder XRD pattern of Zn2Cr3O8 was calculated for Cu Kα, 1.54184 Å.
Lines closer than 0.1° are merged.

Main lines, in order of rising 2θ (2θ = 10–90°):
2θ (°), I (rel.)
28.7, 71
31.4, 100
31.8, 27
35.8, 41
37.4, 47
47.2, 33
58.6, 38
64.6, 33

Crystal structure
```
Zn2Cr3O8
1.0
5.1762 -2.9357 0.0000
5.1762 2.9357 0.0000
-1.8388 0.0000 4.6207
Zn Cr O
2 3 8
direct
0.2169 0.2169 0.1581
0.7831 0.7831 0.8419
0.2402 0.7598 0.5000
0.5000 0.5000 0.0000
0.7598 0.2402 0.5000
0.1041 0.1041 0.4250
0.1607 0.6136 0.0899
0.3864 0.8393 0.9101
0.3917 0.3917 0.5751
0.6083 0.6083 0.4249
0.6136 0.1607 0.0899
0.8393 0.3864 0.9101
0.8959 0.8959 0.5750
```


Starting from a structure optimized by DFT (PBE+U), the powder XRD pattern of V2CrO6 was calculated for Cu Kα, 1.54184 Å.
Lines closer than 0.1° are merged.

Main lines, in order of rising 2θ (2θ = 10–90°):
2θ (°), I (rel.)
13.8, 46
18.5, 43
19.3, 77
19.5, 73
28.0, 100
28.3, 76
28.6, 81
34.8, 55

Crystal structure
```
V2CrO6
1.0
5.5278 0.0000 0.0000
2.1388 6.4213 0.0000
1.4597 0.3496 6.9445
V Cr O
4 2 12
direct
0.1856 0.3369 0.1082
0.2549 0.8877 0.7117
0.7451 0.1123 0.2883
0.8144 0.6631 0.8918
0.2540 0.4181 0.5828
0.7460 0.5819 0.4172
0.0555 0.1094 0.1647
0.1319 0.4648 0.3326
0.2188 0.4571 0.8720
0.2356 0.1305 0.6071
0.3606 0.6906 0.5373
0.4687 0.8244 0.8721
0.5313 0.1756 0.1279
0.6394 0.3094 0.4627
0.7644 0.8695 0.3929
0.7812 0.5429 0.1280
0.8681 0.5352 0.6674
0.9445 0.8906 0.8353
```


Starting from a structure optimized by DFT (PBE+U), the powder XRD pattern of LiV3O5F3 was calculated for Cu Kα, 1.54184 Å.
Lines closer than 0.1° are merged.

Main lines, in order of rising 2θ (2θ = 10–90°):
2θ (°), I (rel.)
21.7, 36
25.3, 100
30.6, 81
31.2, 82
42.3, 51
53.5, 30
54.9, 36
55.6, 42

Crystal structure
```
LiV3O5F3
1.0
4.5502 -5.5430 0.0000
4.5502 5.5430 0.0000
-0.1257 0.0000 5.1069
Li V O F
2 6 10 6
direct
0.1666 0.8334 0.5000
0.8334 0.1666 0.0000
0.1792 0.3361 0.4562
0.3339 0.6930 0.0253
0.3361 0.1792 0.9562
0.6654 0.8279 0.5290
0.6930 0.3339 0.5253
0.8279 0.6654 0.0290
0.0660 0.6822 0.1216
0.3066 0.4220 0.1437
0.3180 0.9412 0.8640
0.4220 0.3066 0.6437
0.4310 0.7924 0.3188
0.5794 0.7033 0.8422
0.6822 0.0660 0.6216
0.7033 0.5794 0.3422
0.7924 0.4310 0.8188
0.9412 0.3180 0.3640
0.0846 0.1964 0.8036
0.1964 0.0846 0.3036
0.2065 0.5803 0.6598
0.5803 0.2065 0.1598
0.8115 0.9185 0.1858
0.9185 0.8115 0.6858
```


Starting from a structure optimized by DFT (PBE+U), the powder XRD pattern of Li9Mn7O16 was calculated for Cu Kα, 1.54184 Å.
Lines closer than 0.1° are merged.

Main lines, in order of rising 2θ (2θ = 10–90°):
2θ (°), I (rel.)
18.3, 100
34.0, 17
36.1, 12
36.3, 11
40.9, 33
44.1, 27
44.2, 27
61.8, 16

Crystal structure
```
Li9Mn7O16
1.0
5.0858 0.0000 0.0000
-1.8963 7.5441 0.0000
-1.1894 -1.6556 7.7384
Li Mn O
9 7 16
direct
0.0000 0.0000 0.0000
0.0000 0.5000 0.5000
0.0217 0.2541 0.7616
0.4963 0.1340 0.8788
0.4959 0.6247 0.3624
0.5000 0.5000 0.0000
0.5041 0.3753 0.6376
0.5037 0.8660 0.1212
0.9783 0.7459 0.2384
0.0064 0.6244 0.8848
0.0065 0.8736 0.6290
0.4909 0.2541 0.2385
0.5000 0.0000 0.5000
0.5091 0.7459 0.7615
0.9935 0.1264 0.3710
0.9936 0.3756 0.1152
0.2137 0.6135 0.1052
0.2223 0.3691 0.3451
0.2264 0.2599 0.0048
0.2439 0.0222 0.2548
0.2494 0.7664 0.5035
0.2498 0.5169 0.7523
0.2572 0.1137 0.6250
0.2567 0.8559 0.8786
0.7433 0.1441 0.1214
0.7428 0.8863 0.3750
0.7502 0.4831 0.2477
0.7506 0.2336 0.4965
0.7561 0.9778 0.7452
0.7736 0.7401 0.9952
0.7777 0.6309 0.6549
0.7863 0.3865 0.8948
```


Starting from a structure optimized by DFT (PBE+U), the powder XRD pattern of MgCr2Cu2O8 was calculated for Cu Kα, 1.54184 Å.
Lines closer than 0.1° are merged.

Main lines, in order of rising 2θ (2θ = 10–90°):
2θ (°), I (rel.)
20.2, 26
26.7, 52
29.7, 32
30.1, 88
30.5, 100
33.4, 30
34.3, 35
36.0, 30

Crystal structure
```
MgCr2Cu2O8
1.0
6.4999 0.0000 0.0000
0.0000 8.2496 0.0000
-0.0565 0.0000 11.8929
Mg Cr Cu O
4 8 8 32
direct
0.1152 0.1593 0.0487
0.1152 0.3407 0.5487
0.8848 0.6593 0.4513
0.8848 0.8407 0.9513
0.1022 0.0385 0.3457
0.1022 0.4615 0.8457
0.3884 0.5856 0.3686
0.3884 0.9144 0.8686
0.6116 0.0856 0.1314
0.6116 0.4144 0.6314
0.8978 0.5385 0.1543
0.8978 0.9615 0.6543
0.2407 0.6825 0.6292
0.2407 0.8175 0.1292
0.3824 0.0592 0.6339
0.3824 0.4408 0.1339
0.6176 0.5592 0.8661
0.6176 0.9408 0.3661
0.7593 0.1825 0.8708
0.7593 0.3175 0.3708
0.0366 0.2255 0.3947
0.0366 0.2745 0.8947
0.0778 0.1023 0.6168
0.0778 0.3977 0.1168
0.1209 0.0396 0.2056
0.1209 0.4604 0.7056
0.1869 0.5745 0.4723
0.1869 0.9255 0.9723
0.3159 0.6322 0.2295
0.3159 0.8678 0.7295
0.3291 0.5108 0.9005
0.3291 0.9892 0.4005
0.4146 0.2175 0.0854
0.4146 0.2825 0.5854
0.4862 0.1053 0.8606
0.4862 0.3947 0.3606
0.5138 0.6053 0.6394
0.5138 0.8947 0.1394
0.5854 0.7175 0.4146
0.5854 0.7825 0.9146
0.6709 0.0108 0.5995
0.6709 0.4892 0.0995
0.6841 0.1322 0.2705
0.6841 0.3678 0.7705
0.8131 0.0745 0.0277
0.8131 0.4255 0.5277
0.8791 0.5396 0.2944
0.8791 0.9604 0.7944
0.9222 0.6023 0.8832
0.9222 0.8977 0.3832
0.9634 0.7255 0.1053
0.9634 0.7745 0.6053
```